Theoretical powder X-ray diffraction pattern
Compound: CsK4Na3
Radiation: Cu Kα (λ = 1.5418 Å)
Structure: a crystal structure in Alexandria, relaxed with GGA-PBE
Neutral-atom scattering factors, no anomalous dispersion.

Structural model:
a = 7.0397 Å, b = 14.0799 Å, c = 9.9790 Å
α = 90.00°, β = 90.00°, γ = 90.00°
Fractional positions:
Cs  0.2500  0.2500  0.0874
Cs  0.7500  0.7500  0.9126
K  0.2500  0.2500  0.6410
K  0.2500  0.5156  0.3447
K  0.2500  0.7500  0.6352
K  0.2500  0.9844  0.3447
K  0.7500  0.0156  0.6553
K  0.7500  0.2500  0.3648
K  0.7500  0.4844  0.6553
K  0.7500  0.7500  0.3590
Na  0.2500  0.5245  0.9027
Na  0.2500  0.7500  0.1227
Na  0.2500  0.9755  0.9027
Na  0.7500  0.0245  0.0973
Na  0.7500  0.2500  0.8773
Na  0.7500  0.4755  0.0973

Peak list (6 most intense, 2θ from 10° to 90°, most intense first)
d 3.523, I 100; d 2.034, I 31; d 2.490, I 17; d 5.325, I 12; d 3.906, I 10; d 1.574, I 10


Theoretical powder X-ray diffraction pattern
Compound: Nd2Dy7
Radiation: Cu Kα (λ = 1.5418 Å)
Structure: a crystal structure in Alexandria, relaxed with GGA-PBE
Neutral-atom scattering factors, no anomalous dispersion.

Structural model:
a = 9.7244 Å, b = 9.7244 Å, c = 3.5580 Å
α = 90.00°, β = 90.00°, γ = 120.00°
Fractional positions:
Nd  0.3333  0.6667  0.0000
Nd  0.6667  0.3333  0.0000
Dy  0.0000  0.0000  0.5000
Dy  0.0000  0.3533  0.5000
Dy  0.0000  0.6962  0.0000
Dy  0.3038  0.3038  0.0000
Dy  0.3533  0.0000  0.5000
Dy  0.6467  0.6467  0.5000
Dy  0.6962  0.0000  0.0000

Peak list (6 most intense, 2θ from 10° to 90°, most intense first)
d 2.807, I 100; d 2.871, I 80; d 1.503, I 30; d 2.007, I 25; d 1.633, I 23; d 2.718, I 22


Theoretical powder X-ray diffraction pattern
Compound: LaPr4Mg
Radiation: Cu Kα (λ = 1.5418 Å)
Structure: a crystal structure in Alexandria, relaxed with GGA-PBE
Neutral-atom scattering factors, no anomalous dispersion.

Structural model:
a = 8.1560 Å, b = 8.1560 Å, c = 10.3398 Å
α = 90.00°, β = 90.00°, γ = 143.50°
Fractional positions:
La  0.1702  0.8298  0.5000
La  0.8298  0.1702  0.0000
Pr  0.0023  0.9977  0.2487
Pr  0.1689  0.8311  0.9957
Pr  0.3323  0.6677  0.2482
Pr  0.4989  0.5011  0.4987
Pr  0.5011  0.4989  0.9987
Pr  0.6677  0.3323  0.7482
Pr  0.8311  0.1689  0.4957
Pr  0.9977  0.0023  0.7487
Mg  0.3342  0.6658  0.7476
Mg  0.6658  0.3342  0.2476

Peak list (6 most intense, 2θ from 10° to 90°, most intense first)
d 2.972, I 100; d 2.583, I 34; d 1.556, I 29; d 1.816, I 24; d 2.554, I 17; d 1.543, I 14